Entry 1:
Diffraction record for BiSbPt. The powder diffraction line list is computed, not measured: it uses a DFT-relaxed cell (GGA-PBE, the Materials Project) and Cu Kα.
Neutral-atom scattering factors, no anomalous dispersion.

Structural model:
Unit cell a=6.704 b=6.704 c=6.704 alpha=90.00 beta=90.00 gamma=90.00
Space group P2_13 (No. 198)
Unique sites:
Bi1 0.126 0.126 0.126 (multiplicity 4)
Sb1 0.127 0.373 0.627 (multiplicity 4)
Pt1 0.010 0.510 0.990 (multiplicity 4)

Main lines, low angle first (10° ≤ 2θ ≤ 90°):
h k l  2theta  I/Imax
2 0 0  26.59  36
2 1 0  29.80  98
2 1 1  32.72  69
2 2 0  37.96  30
3 1 1  44.84  100
3 1 2  50.97  41
4 2 1  63.60  22
3 3 3  73.38  30
5 0 2  76.52  21
4 4 0  81.15  25



Entry 2:
Diffraction record for Bi3SbPt2. The powder diffraction line list is computed, not measured: it uses a DFT-relaxed cell (GGA-PBE, the Materials Project) and Cu Kα.
Neutral-atom scattering factors, no anomalous dispersion.

Structural model:
Unit cell a=6.765 b=6.767 c=6.768 alpha=90.00 beta=91.10 gamma=90.00
Space group P2_1 (No. 4)
Unique sites:
Bi1 0.120 0.000 0.371 (multiplicity 2)
Bi2 0.374 0.754 0.875 (multiplicity 2)
Bi3 0.379 0.257 0.630 (multiplicity 2)
Sb1 0.123 0.501 0.127 (multiplicity 2)
Pt1 0.237 0.135 0.000 (multiplicity 2)
Pt2 0.247 0.625 0.490 (multiplicity 2)

Main lines, low angle first (10° ≤ 2θ ≤ 90°):
h k l  2theta  I/Imax
0 2 0  26.35  44
0 1 2  29.52  100
2 0 1  29.76  26
2 1 -1  32.20  39
1 1 2  32.63  37
0 2 2  37.60  26
1 1 -3  44.17  45
1 3 -1  44.32  27
1 1 3  44.65  49
0 4 4  80.26  26



Entry 3:
Diffraction record for TbBiPt. The powder diffraction line list is computed, not measured: it uses a DFT-relaxed cell (GGA-PBE, the Materials Project) and Cu Kα.
Neutral-atom scattering factors, no anomalous dispersion.

Structural model:
Unit cell a=6.762 b=6.762 c=6.762 alpha=90.00 beta=90.00 gamma=90.00
Space group F-43m (No. 216)
Unique sites:
Tb1 0.000 0.000 0.000 (multiplicity 4)
Bi1 0.000 0.000 0.500 (multiplicity 4)
Pt1 0.250 0.250 0.250 (multiplicity 4)

Main lines, low angle first (10° ≤ 2θ ≤ 90°):
h k l  2theta  I/Imax
1 1 1  22.78  30
2 0 0  26.36  12
2 2 0  37.62  100
3 1 1  44.43  16
4 0 0  54.26  18
3 3 1  59.59  7
4 2 2  67.90  36
5 1 1  72.65  5
4 4 0  80.32  12
5 3 1  84.82  5



Entry 4:
Diffraction record for TmBiPt. The powder diffraction line list is computed, not measured: it uses a DFT-relaxed cell (GGA-PBE, the Materials Project) and Cu Kα.
Neutral-atom scattering factors, no anomalous dispersion.

Structural model:
Unit cell a=6.695 b=6.695 c=6.695 alpha=90.00 beta=90.00 gamma=90.00
Space group F-43m (No. 216)
Unique sites:
Tm1 0.000 0.000 0.000 (multiplicity 4)
Bi1 0.000 0.000 0.500 (multiplicity 4)
Pt1 0.250 0.250 0.250 (multiplicity 4)

Main lines, low angle first (10° ≤ 2θ ≤ 90°):
h k l  2theta  I/Imax
1 1 1  23.01  28
2 0 0  26.63  13
2 2 0  38.02  100
3 1 1  44.91  15
4 0 0  54.86  18
3 3 1  60.26  6
4 2 0  61.99  5
4 2 2  68.69  36
4 4 0  81.30  12
5 3 1  85.89  5